Record 1
Li4Cr3CoO8: calculated powder X-ray diffraction pattern (λ = 1.5418 Å (Cu Kα)), based on a crystal structure in the Materials Project, relaxed with GGA+U.
Peak positions follow from Bragg's law for the DFT cell and can differ from measured ones.

```
data_Li4Cr3CoO8
_cell_length_a 5.9364
_cell_length_b 6.6267
_cell_length_c 8.8453
_cell_angle_alpha 81.76
_cell_angle_beta 70.49
_cell_angle_gamma 63.88
_space_group_name_H-M_alt 'P -1'
_space_group_IT_number 2
loop_
_space_group_symop_operation_xyz
'x,y,z'
'-x,-y,-z'
loop_
_atom_site_label
_atom_site_type_symbol
_atom_site_fract_x
_atom_site_fract_y
_atom_site_fract_z
Li1 Li 0.2444 0.0050 0.0055
Li2 Li 0.2455 0.4909 0.4957
Li3 Li 0.2484 0.2498 0.2519
Li4 Li 0.2513 0.7508 0.7514
Cr1 Cr 0.0000 0.0000 0.5000
Cr2 Cr 0.0020 0.7499 0.2513
Cr3 Cr 0.4987 0.2479 0.7497
Cr4 Cr 0.5000 0.5000 0.0000
Co1 Co 0.0000 0.5000 0.0000
Co2 Co 0.5000 0.0000 0.5000
O1 O 0.1121 0.2434 0.5077
O2 O 0.1284 0.4833 0.7615
O3 O 0.1315 0.7368 0.0081
O4 O 0.1326 0.9827 0.2582
O5 O 0.3709 0.0163 0.7352
O6 O 0.3713 0.5175 0.2425
O7 O 0.3737 0.2630 0.9924
O8 O 0.3757 0.7754 0.4932
```

The 10 most intense peaks (10 to 90 degrees two-theta), by intensity:
2theta  d/Å  I_rel
18.28  4.853  100
42.85  2.110  27
43.24  2.092  26
43.42  2.084  26
35.36  2.538  14
62.59  1.484  14
62.75  1.481  14
35.62  2.520  13
35.72  2.514  13
37.19  2.417  12

---

Record 2
Li4Cr3CoO8: calculated powder X-ray diffraction pattern (λ = 1.5418 Å (Cu Kα)), based on a crystal structure in the Materials Project, relaxed with GGA+U.
Peak positions follow from Bragg's law for the DFT cell and can differ from measured ones.

```
data_Li4Cr3CoO8
_cell_length_a 5.9202
_cell_length_b 5.9202
_cell_length_c 14.5616
_cell_angle_alpha 90.00
_cell_angle_beta 90.00
_cell_angle_gamma 120.00
_space_group_name_H-M_alt 'R -3 m'
_space_group_IT_number 166
_space_group_name_Hall '-R 3 2"'
loop_
_atom_site_label
_atom_site_type_symbol
_atom_site_fract_x
_atom_site_fract_y
_atom_site_fract_z
Li1 Li 0.0000 0.0000 0.0000
Li2 Li 0.0000 0.5000 0.0000
Cr1 Cr 0.0000 0.5000 0.5000
Co1 Co 0.0000 0.0000 0.5000
O1 O 0.0000 0.0000 0.2416
O2 O 0.0014 0.5007 0.2425
```

The 10 most intense peaks (10 to 90 degrees two-theta), by intensity:
2theta  d/Å  I_rel
18.28  4.854  100
43.16  2.096  81
35.56  2.525  41
62.78  1.480  22
62.59  1.484  21
57.01  1.615  14
65.99  1.416  14
47.24  1.924  13
37.18  2.418  12
79.23  1.209  10

---

Record 3
Li4Cr5Co3O16: calculated powder X-ray diffraction pattern (λ = 1.5418 Å (Cu Kα)), based on a crystal structure in the Materials Project, relaxed with GGA+U.
Peak positions follow from Bragg's law for the DFT cell and can differ from measured ones.

```
data_Li4Cr5Co3O16
_cell_length_a 9.8597
_cell_length_b 5.7432
_cell_length_c 9.3130
_cell_angle_alpha 90.00
_cell_angle_beta 90.15
_cell_angle_gamma 90.00
_space_group_name_H-M_alt 'C 1 m 1'
_space_group_IT_number 8
loop_
_space_group_symop_operation_xyz
'x,y,z'
'x,-y,z'
'x+1/2,y+1/2,z'
'x+1/2,-y+1/2,z'
loop_
_atom_site_label
_atom_site_type_symbol
_atom_site_fract_x
_atom_site_fract_y
_atom_site_fract_z
Li1 Li 0.0000 0.0000 0.0000
Li2 Li 0.0009 0.0000 0.4977
Li3 Li 0.1586 0.5000 0.8968
Li4 Li 0.3239 0.0000 0.3918
Cr1 Cr 0.1591 0.5000 0.4888
Cr2 Cr 0.3223 0.5000 0.2131
Cr3 Cr 0.3264 0.0000 0.9939
Cr4 Cr 0.4077 0.2425 0.7141
Co1 Co 0.0800 0.2551 0.2143
Co2 Co 0.1665 0.0000 0.7151
O1 O 0.0146 0.5000 0.3374
O2 O 0.0768 0.2517 0.6041
O3 O 0.1576 0.5000 0.1062
O4 O 0.1630 0.0000 0.1060
O5 O 0.2323 0.2822 0.3426
O6 O 0.2538 0.2180 0.8439
O7 O 0.3269 0.0000 0.6015
O8 O 0.3270 0.5000 0.6036
O9 O 0.4100 0.2508 0.1036
O10 O 0.4721 0.0000 0.8433
O11 O 0.4964 0.5000 0.3077
O12 O 0.4963 0.5000 0.8085
```

The 10 most intense peaks (10 to 90 degrees two-theta), by intensity:
2theta  d/Å  I_rel
20.29  4.376  100
19.06  4.656  83
46.87  1.938  47
37.51  2.398  42
36.96  2.432  40
62.33  1.490  35
34.07  2.631  33
41.22  2.190  32
26.25  3.394  30
65.44  1.426  30

---

Record 4
Li2CrCo3O8: calculated powder X-ray diffraction pattern (λ = 1.5418 Å (Cu Kα)), based on a crystal structure in the Materials Project, relaxed with GGA+U.
Peak positions follow from Bragg's law for the DFT cell and can differ from measured ones.

```
data_Li2CrCo3O8
_cell_length_a 5.7760
_cell_length_b 5.9346
_cell_length_c 8.2159
_cell_angle_alpha 87.95
_cell_angle_beta 90.00
_cell_angle_gamma 89.93
_space_group_name_H-M_alt 'P -1'
_space_group_IT_number 2
loop_
_space_group_symop_operation_xyz
'x,y,z'
'-x,-y,-z'
loop_
_atom_site_label
_atom_site_type_symbol
_atom_site_fract_x
_atom_site_fract_y
_atom_site_fract_z
Li1 Li 0.0000 0.0000 0.0000
Li2 Li 0.0000 0.5000 0.5000
Li3 Li 0.5000 0.0000 0.0000
Li4 Li 0.5000 0.5000 0.5000
Cr1 Cr 0.0000 0.0000 0.5000
Cr2 Cr 0.5000 0.5000 0.0000
Co1 Co 0.0000 0.5000 0.0000
Co2 Co 0.2482 0.2530 0.2482
Co3 Co 0.2480 0.7468 0.7516
Co4 Co 0.5000 0.0000 0.5000
O1 O 0.0001 0.0439 0.2550
O2 O 0.9999 0.4636 0.2347
O3 O 0.2431 0.2728 0.0196
O4 O 0.2434 0.7274 0.9804
O5 O 0.2473 0.7633 0.5229
O6 O 0.2481 0.2350 0.4773
O7 O 0.5001 0.0433 0.2575
O8 O 0.4997 0.4604 0.2423
```

The 10 most intense peaks (10 to 90 degrees two-theta), by intensity:
2theta  d/Å  I_rel
18.14  4.892  100
43.75  2.069  35
36.46  2.465  22
44.12  2.053  17
36.68  2.450  15
57.25  1.609  10
64.77  1.439  9
38.09  2.363  9
62.99  1.476  9
67.67  1.385  6

---

Record 5
Li2CrCo3O8: calculated powder X-ray diffraction pattern (λ = 1.5418 Å (Cu Kα)), based on a crystal structure in the Materials Project, relaxed with GGA+U.
Peak positions follow from Bragg's law for the DFT cell and can differ from measured ones.

```
data_Li2CrCo3O8
_cell_length_a 8.1481
_cell_length_b 8.1487
_cell_length_c 8.1665
_cell_angle_alpha 90.28
_cell_angle_beta 90.15
_cell_angle_gamma 90.21
_space_group_name_H-M_alt 'P 1'
_space_group_IT_number 1
loop_
_space_group_symop_operation_xyz
'x,y,z'
loop_
_atom_site_label
_atom_site_type_symbol
_atom_site_fract_x
_atom_site_fract_y
_atom_site_fract_z
Li1 Li 0.0000 0.0000 0.0000
Li2 Li 0.9997 0.4991 0.5018
Li3 Li 0.2465 0.2525 0.7512
Li4 Li 0.2496 0.7500 0.2503
Li5 Li 0.5000 0.5017 0.0019
Li6 Li 0.5016 0.9973 0.5026
Li7 Li 0.7490 0.7524 0.7499
Li8 Li 0.7512 0.2540 0.2517
Cr1 Cr 0.1236 0.3756 0.1243
Cr2 Cr 0.3718 0.8752 0.8749
Cr3 Cr 0.6249 0.6249 0.3757
Cr4 Cr 0.8734 0.1266 0.6255
Co1 Co 0.1201 0.6251 0.8735
Co2 Co 0.1256 0.8722 0.6212
Co3 Co 0.1302 0.1221 0.3765
Co4 Co 0.3711 0.6212 0.6255
Co5 Co 0.3762 0.3699 0.3811
Co6 Co 0.3795 0.1266 0.1310
Co7 Co 0.6210 0.3750 0.6292
Co8 Co 0.6241 0.1307 0.8793
Co9 Co 0.6290 0.8800 0.1268
Co10 Co 0.8693 0.3809 0.8766
Co11 Co 0.8758 0.6298 0.1215
Co12 Co 0.8794 0.8767 0.3715
O1 O 0.1040 0.3911 0.8826
O2 O 0.1071 0.6201 0.1088
O3 O 0.1127 0.8894 0.3855
O4 O 0.1177 0.1089 0.6063
O5 O 0.1400 0.6379 0.6371
O6 O 0.1401 0.8643 0.8585
O7 O 0.1409 0.3503 0.3727
O8 O 0.1490 0.1263 0.1451
O9 O 0.3600 0.6377 0.8598
O10 O 0.3624 0.8561 0.6382
O11 O 0.3649 0.1354 0.3644
O12 O 0.3717 0.3546 0.1467
O13 O 0.3779 0.6065 0.3956
O14 O 0.3887 0.3869 0.6156
O15 O 0.3904 0.1167 0.8930
O16 O 0.3900 0.8932 0.1128
O17 O 0.6040 0.6070 0.6215
O18 O 0.6109 0.1168 0.1130
O19 O 0.6112 0.8969 0.8904
O20 O 0.6115 0.3812 0.3968
O21 O 0.6269 0.1440 0.6472
O22 O 0.6328 0.3614 0.8633
O23 O 0.6429 0.6460 0.1302
O24 O 0.6469 0.8706 0.3608
O25 O 0.8504 0.3733 0.6408
O26 O 0.8543 0.1425 0.8716
O27 O 0.8626 0.8647 0.1396
O28 O 0.8716 0.6446 0.3553
O29 O 0.8804 0.3978 0.1108
O30 O 0.8848 0.6156 0.8906
O31 O 0.8903 0.8808 0.6029
O32 O 0.8944 0.1078 0.3807
```

The 10 most intense peaks (10 to 90 degrees two-theta), by intensity:
2theta  d/Å  I_rel
18.83  4.714  100
44.47  2.037  46
18.92  4.690  32
36.50  2.462  30
44.37  2.042  23
36.57  2.457  20
64.50  1.445  13
64.77  1.439  13
38.18  2.357  12
58.84  1.569  10

---

Record 6
Li2CrCo3O8: calculated powder X-ray diffraction pattern (λ = 1.5418 Å (Cu Kα)), based on a crystal structure in the Materials Project, relaxed with GGA+U.
Peak positions follow from Bragg's law for the DFT cell and can differ from measured ones.

```
data_Li2CrCo3O8
_cell_length_a 8.0732
_cell_length_b 8.0732
_cell_length_c 8.0732
_cell_angle_alpha 90.00
_cell_angle_beta 90.00
_cell_angle_gamma 90.00
_space_group_name_H-M_alt 'P 43 3 2'
_space_group_IT_number 212
_space_group_name_Hall 'P 4acd 2ab 3'
loop_
_atom_site_label
_atom_site_type_symbol
_atom_site_fract_x
_atom_site_fract_y
_atom_site_fract_z
Li1 Li 0.9998 0.9998 0.9998
Cr1 Cr 0.1250 0.8750 0.3750
Co1 Co 0.1221 0.1279 0.6250
O1 O 0.1076 0.1129 0.3891
O2 O 0.1116 0.6116 0.8884
```

The 10 most intense peaks (10 to 90 degrees two-theta), by intensity:
2theta  d/Å  I_rel
19.04  4.661  100
44.91  2.018  51
36.93  2.434  45
65.39  1.427  30
59.50  1.554  19
68.80  1.365  13
38.63  2.331  12
49.19  1.852  10
82.84  1.165  8
85.99  1.130  7

---

Record 7
Li2CrCo3O8: calculated powder X-ray diffraction pattern (λ = 1.5418 Å (Cu Kα)), based on a crystal structure in the Materials Project, relaxed with GGA+U.
Peak positions follow from Bragg's law for the DFT cell and can differ from measured ones.

```
data_Li2CrCo3O8
_cell_length_a 8.1943
_cell_length_b 8.3212
_cell_length_c 8.3216
_cell_angle_alpha 89.98
_cell_angle_beta 89.86
_cell_angle_gamma 89.60
_space_group_name_H-M_alt 'P 1'
_space_group_IT_number 1
loop_
_space_group_symop_operation_xyz
'x,y,z'
loop_
_atom_site_label
_atom_site_type_symbol
_atom_site_fract_x
_atom_site_fract_y
_atom_site_fract_z
Li1 Li 0.0000 0.0000 0.0000
Li2 Li 0.9995 0.4974 0.4996
Li3 Li 0.2507 0.2514 0.2449
Li4 Li 0.2522 0.7507 0.7455
Li5 Li 0.5019 0.0003 0.5010
Li6 Li 0.5025 0.4959 0.0008
Li7 Li 0.7490 0.2489 0.7476
Li8 Li 0.7487 0.7494 0.2453
Cr1 Cr 0.1233 0.3698 0.8754
Cr2 Cr 0.3801 0.6205 0.3706
Cr3 Cr 0.6264 0.1273 0.1191
Cr4 Cr 0.8735 0.8773 0.6257
Co1 Co 0.1244 0.6214 0.1249
Co2 Co 0.1272 0.1278 0.6262
Co3 Co 0.1336 0.8761 0.3748
Co4 Co 0.3761 0.8759 0.1204
Co5 Co 0.3771 0.1228 0.8725
Co6 Co 0.3840 0.3707 0.6204
Co7 Co 0.6247 0.6243 0.6236
Co8 Co 0.6254 0.8775 0.8717
Co9 Co 0.6262 0.3749 0.3702
Co10 Co 0.8722 0.6219 0.8779
Co11 Co 0.8732 0.3730 0.1242
Co12 Co 0.8742 0.1272 0.3713
O1 O 0.1052 0.3854 0.1140
O2 O 0.1047 0.6111 0.8798
O3 O 0.1111 0.1077 0.3844
O4 O 0.1169 0.8901 0.6062
O5 O 0.1362 0.8594 0.1409
O6 O 0.1372 0.3570 0.6337
O7 O 0.1427 0.6422 0.3710
O8 O 0.1440 0.1310 0.8623
O9 O 0.3598 0.1289 0.6433
O10 O 0.3640 0.6298 0.1399
O11 O 0.3673 0.3507 0.8638
O12 O 0.3697 0.8631 0.3626
O13 O 0.3835 0.1177 0.0982
O14 O 0.3895 0.6137 0.6076
O15 O 0.3920 0.3851 0.3777
O16 O 0.3931 0.8935 0.8780
O17 O 0.6090 0.1082 0.8790
O18 O 0.6116 0.6054 0.3795
O19 O 0.6149 0.8853 0.1004
O20 O 0.6170 0.3817 0.6004
O21 O 0.6311 0.8674 0.6465
O22 O 0.6396 0.6464 0.8670
O23 O 0.6428 0.1422 0.3608
O24 O 0.6444 0.3655 0.1389
O25 O 0.8542 0.8704 0.8647
O26 O 0.8606 0.6377 0.6375
O27 O 0.8622 0.3598 0.3554
O28 O 0.8699 0.1454 0.1331
O29 O 0.8800 0.3784 0.8966
O30 O 0.8821 0.8969 0.3850
O31 O 0.8827 0.6016 0.1144
O32 O 0.8956 0.1181 0.6129
```

The 10 most intense peaks (10 to 90 degrees two-theta), by intensity:
2theta  d/Å  I_rel
18.54  4.785  100
43.50  2.080  48
18.62  4.765  31
35.80  2.508  26
44.21  2.049  23
35.90  2.501  16
63.21  1.471  14
36.33  2.473  10
36.19  2.482  10
57.53  1.602  8